(1)
# Na3Zr3NbSe8
Theoretical powder diffraction line list, Cu Kα (weighted mean of Kα1 and Kα2). Input: a structure optimized by DFT (PBE).

The 10 most intense peaks (2θ from 5° to 70°), most intense first:
2θ/deg  d_spacing  I/Imax
31.9  2.803  100
12.0  7.372  51
42.9  2.106  39
48.5  1.878  31
59.2  1.560  16
39.8  2.266  14
66.7  1.402  10
53.6  1.710  9
27.7  3.217  9
50.1  1.819  8

Cell and atoms:
```
Na3Zr3NbSe8
1.0
3.755 2.168 7.372
-3.755 2.168 7.372
0.000 -4.336 7.372
Na Zr Nb Se
3 3 1 8
Cartesian
-1.878 -1.084 7.372 Na
-1.878 1.084 14.744 Na
0.000 2.168 7.372 Na
-3.755 0.000 11.058 Zr
-1.878 1.084 3.686 Zr
1.878 1.084 3.686 Zr
0.000 0.000 11.058 Nb
0.000 0.000 5.355 Se
-1.852 -1.069 12.691 Se
0.000 -2.138 9.425 Se
-1.852 1.069 9.425 Se
1.852 -1.069 12.691 Se
0.000 2.138 12.691 Se
1.852 1.069 9.425 Se
0.000 0.000 16.761 Se
```

***

(2)
# NaSrNb
Theoretical powder diffraction line list, Cu Kα (weighted mean of Kα1 and Kα2). Input: a structure optimized by DFT (PBE).

The 10 most intense peaks (2θ from 5° to 70°), most intense first:
2θ/deg  d_spacing  I/Imax
5.9  14.992  100
30.4  2.944  15
34.8  2.576  14
34.3  2.612  13
46.5  1.954  7
35.4  2.539  7
29.8  2.998  6
38.9  2.315  5
50.1  1.822  5
62.1  1.494  5

Cell and atoms:
```
NaSrNb
1.0
3.643 0.000 0.000
0.000 3.643 0.000
0.000 0.000 14.992
Na Sr Nb
2 2 2
Cartesian
0.911 0.911 1.405 Na
2.732 2.732 13.587 Na
0.911 0.911 10.411 Sr
2.732 2.732 4.581 Sr
0.911 0.911 6.993 Nb
2.732 2.732 8.000 Nb
```

***

(3)
# NaNbZn
Theoretical powder diffraction line list, Cu Kα (weighted mean of Kα1 and Kα2). Input: a structure optimized by DFT (PBE).

The 10 most intense peaks (2θ from 5° to 70°), most intense first:
2θ/deg  d_spacing  I/Imax
5.9  14.976  100
36.9  2.436  22
37.0  2.430  8
40.1  2.247  7
40.3  2.240  6
40.4  2.233  6
36.0  2.496  5
42.2  2.139  4
51.4  1.779  3
67.1  1.395  3

Cell and atoms:
```
NaNbZn
1.0
2.866 0.000 0.000
0.658 2.789 0.000
0.076 0.026 14.976
Na Nb Zn
2 2 2
Cartesian
0.887 0.702 5.870 Na
2.712 2.113 9.106 Na
0.880 0.698 1.138 Nb
2.719 2.117 13.838 Nb
0.961 0.725 11.681 Zn
2.638 2.090 3.295 Zn
```

***

(4)
# NaNbZn
Theoretical powder diffraction line list, Cu Kα (weighted mean of Kα1 and Kα2). Input: a structure optimized by DFT (PBE).

The 10 most intense peaks (2θ from 5° to 70°), most intense first:
2θ/deg  d_spacing  I/Imax
13.8  6.410  100
39.3  2.293  94
36.0  2.494  92
41.8  2.159  37
54.4  1.688  27
69.1  1.359  25
48.4  1.882  24
48.8  1.865  10
64.0  1.454  10
27.8  3.205  8

Cell and atoms:
```
NaNbZn
1.0
4.585 0.000 0.000
-2.293 3.971 0.000
0.000 0.000 6.410
Na Nb Zn
2 2 2
Cartesian
0.000 2.647 0.000 Na
2.293 1.324 0.000 Na
0.000 2.647 3.205 Nb
2.293 1.324 3.205 Nb
0.000 0.000 1.916 Zn
0.000 0.000 4.494 Zn
```

***

(5)
# NaNd12Ni6
Theoretical powder diffraction line list, Cu Kα (weighted mean of Kα1 and Kα2). Input: a structure optimized by DFT (PBE).

The 10 most intense peaks (2θ from 5° to 70°), most intense first:
2θ/deg  d_spacing  I/Imax
32.9  2.721  100
27.7  3.219  48
52.4  1.746  35
55.7  1.651  32
30.4  2.939  31
45.4  1.996  25
12.3  7.198  18
54.1  1.697  16
64.8  1.440  15
24.7  3.599  12

Cell and atoms:
```
NaNd12Ni6
1.0
-5.090 5.090 5.090
5.090 -5.090 5.090
5.090 5.090 -5.090
Na Nd Ni
1 12 6
Cartesian
0.000 0.000 0.000 Na
5.090 -1.902 3.172 Nd
3.188 1.918 0.000 Nd
6.992 1.918 0.000 Nd
3.172 5.090 -1.902 Nd
1.918 0.000 3.188 Nd
5.090 1.902 3.172 Nd
0.000 3.188 1.918 Nd
3.172 5.090 1.902 Nd
1.918 0.000 6.992 Nd
-1.902 3.172 5.090 Nd
1.902 3.172 5.090 Nd
0.000 6.992 1.918 Nd
5.090 0.000 1.220 Ni
5.090 3.869 0.000 Ni
1.220 5.090 0.000 Ni
3.869 0.000 5.090 Ni
0.000 1.220 5.090 Ni
0.000 5.090 3.869 Ni
```

***

(6)
# Na3Nd3NpS8
Theoretical powder diffraction line list, Cu Kα (weighted mean of Kα1 and Kα2). Input: a structure optimized by DFT (PBE).

The 10 most intense peaks (2θ from 5° to 70°), most intense first:
2θ/deg  d_spacing  I/Imax
13.2  6.702  100
30.7  2.909  92
25.4  3.513  54
43.9  2.060  33
44.1  2.054  32
26.5  3.363  29
46.1  1.969  26
40.3  2.238  24
33.6  2.669  21
54.6  1.681  17

Cell and atoms:
```
Na3Nd3NpS8
1.0
4.121 2.379 6.700
-4.121 2.379 6.700
0.000 -4.758 6.700
Na Nd Np S
3 3 1 8
Cartesian
-2.060 -1.190 6.700 Na
-2.060 1.189 13.400 Na
0.000 2.379 6.700 Na
-4.121 0.000 10.050 Nd
-2.060 1.189 3.350 Nd
2.060 1.190 3.350 Nd
0.000 0.000 10.050 Np
0.000 0.000 4.914 S
-1.964 -1.134 11.535 S
0.000 -2.268 8.565 S
-1.964 1.134 8.565 S
1.964 -1.134 11.535 S
0.000 2.268 11.535 S
1.964 1.134 8.565 S
0.000 0.000 15.186 S
```

***

(7)
# NaNdNp2Se4
Theoretical powder diffraction line list, Cu Kα (weighted mean of Kα1 and Kα2). Input: a structure optimized by DFT (PBE).

The 10 most intense peaks (2θ from 5° to 70°), most intense first:
2θ/deg  d_spacing  I/Imax
30.3  2.952  100
43.1  2.097  57
30.1  2.964  51
12.9  6.841  42
43.3  2.088  38
53.9  1.700  20
43.6  2.075  19
25.1  3.551  16
26.2  3.400  15
63.0  1.476  12

Cell and atoms:
```
NaNdNp2Se4
1.0
7.247 0.000 0.000
0.000 4.150 0.000
-2.417 0.000 6.870
Na Nd Np Se
1 1 2 4
Cartesian
0.000 0.000 0.000 Na
-1.209 2.075 3.435 Nd
2.415 0.000 3.435 Np
3.623 2.075 0.000 Np
0.033 0.000 5.195 Se
1.252 2.075 1.742 Se
4.797 0.000 1.675 Se
3.578 2.075 5.128 Se
```

***

(8)
# NaNd6O8
Theoretical powder diffraction line list, Cu Kα (weighted mean of Kα1 and Kα2). Input: a structure optimized by DFT (PBE).

The 10 most intense peaks (2θ from 5° to 70°), most intense first:
2θ/deg  d_spacing  I/Imax
30.4  2.944  100
24.9  3.573  34
43.9  2.063  29
34.5  2.597  26
43.1  2.101  26
57.0  1.615  20
59.3  1.558  16
54.3  1.689  14
40.3  2.240  13
29.4  3.035  10

Cell and atoms:
```
NaNd6O8
1.0
3.573 2.063 5.194
-3.573 2.063 5.194
0.000 -4.126 5.194
Na Nd O
1 6 8
Cartesian
0.000 0.000 0.000 Na
-2.209 -0.287 6.514 Nd
-0.856 -2.057 9.068 Nd
1.353 -1.770 6.514 Nd
-1.353 1.770 9.068 Nd
0.856 2.057 6.514 Nd
2.209 0.287 9.068 Nd
-0.965 -2.413 6.579 O
-2.572 -0.371 9.002 O
0.000 0.000 5.086 O
-1.607 2.042 6.579 O
1.607 -2.042 9.002 O
0.000 0.000 10.495 O
2.572 0.371 6.579 O
0.965 2.413 9.002 O
```

***

(9)
# NaNdPbO3
Theoretical powder diffraction line list, Cu Kα (weighted mean of Kα1 and Kα2). Input: a structure optimized by DFT (PBE).

The 10 most intense peaks (2θ from 5° to 70°), most intense first:
2θ/deg  d_spacing  I/Imax
30.3  2.950  100
16.8  5.279  96
29.8  2.999  74
28.2  3.163  66
34.0  2.638  39
42.7  2.120  28
39.3  2.291  24
59.6  1.550  23
50.6  1.805  23
15.9  5.588  21

Cell and atoms:
```
NaNdPbO3
1.0
6.340 0.000 0.000
0.000 3.558 0.000
-0.683 0.000 10.554
Na Nd Pb O
2 2 2 6
Cartesian
0.878 0.889 3.197 Na
4.780 2.668 7.357 Na
1.860 0.889 6.507 Nd
3.798 2.668 4.047 Nd
0.984 2.668 9.465 Pb
4.674 0.889 1.089 Pb
0.076 0.889 8.253 O
1.591 2.668 4.955 O
2.555 2.668 7.947 O
3.103 0.889 2.607 O
4.067 0.889 5.599 O
5.581 2.668 2.301 O
```

***

(10)
# NaNdSO
Theoretical powder diffraction line list, Cu Kα (weighted mean of Kα1 and Kα2). Input: a structure optimized by DFT (PBE).

The 10 most intense peaks (2θ from 5° to 70°), most intense first:
2θ/deg  d_spacing  I/Imax
32.9  2.724  100
14.1  6.284  86
47.2  1.926  67
28.4  3.145  65
27.1  3.286  52
56.0  1.642  35
35.9  2.499  26
43.2  2.095  23
58.7  1.573  22
49.5  1.842  21

Cell and atoms:
```
NaNdSO
1.0
1.927 1.112 6.284
-1.927 1.112 6.284
0.000 -2.225 6.284
Na Nd S O
1 1 1 1
Cartesian
0.000 0.000 0.000 Na
0.000 0.000 9.655 Nd
0.000 0.000 14.146 S
0.000 0.000 4.304 O
```